Starting from a structure optimized by DFT (PBE+U), the PXRD pattern of Ba2TlFe2O7 was simulated for copper Kα.
Intensities are scaled so that the largest is 100.

Crystal structure
```
data_Ba2TlFe2O7
_cell_length_a 3.7625
_cell_length_b 3.7625
_cell_length_c 13.4090
_cell_angle_alpha 90.00
_cell_angle_beta 90.00
_cell_angle_gamma 90.00
_space_group_name_H-M_alt 'P 4/m m m'
_space_group_IT_number 123
_space_group_name_Hall '-P 4 2'
loop_
_atom_site_label
_atom_site_type_symbol
_atom_site_fract_x
_atom_site_fract_y
_atom_site_fract_z
Ba1 Ba 0.0000 0.0000 0.2064
Tl1 Tl 0.5000 0.5000 0.0000
Fe1 Fe 0.5000 0.5000 0.3931
O1 O 0.0000 0.0000 0.0000
O2 O 0.0000 0.5000 0.3694
O3 O 0.5000 0.5000 0.1550
```

Peak list (10 most intense, 2θ = 10–90°, most intense first)
index	2theta	d_spacing	I/Imax
1 0 2	27.18	3.281	100
1 0 3	31.07	2.878	62
1 1 0	33.69	2.661	52
1 1 5	48.18	1.889	37
0 0 5	33.41	2.682	33
2 0 0	48.38	1.881	27
2 1 2	56.38	1.632	27
2 0 5	60.07	1.540	23
2 1 3	58.62	1.575	21
1 1 1	34.36	2.610	21


Starting from a structure optimized by DFT (PBE+U), the PXRD pattern of Ba2YTlFe2O7 was simulated for copper Kα.
Intensities are scaled so that the largest is 100.

Crystal structure
```
data_Ba2YTlFe2O7
_cell_length_a 3.9654
_cell_length_b 3.9654
_cell_length_c 12.9600
_cell_angle_alpha 90.00
_cell_angle_beta 90.00
_cell_angle_gamma 90.00
_space_group_name_H-M_alt 'P 4/m m m'
_space_group_IT_number 123
_space_group_name_Hall '-P 4 2'
loop_
_atom_site_label
_atom_site_type_symbol
_atom_site_fract_x
_atom_site_fract_y
_atom_site_fract_z
Ba1 Ba 0.0000 0.0000 0.2008
Y1 Y 0.0000 0.0000 0.5000
Tl1 Tl 0.5000 0.5000 0.0000
Fe1 Fe 0.5000 0.5000 0.3719
O1 O 0.0000 0.0000 0.0000
O2 O 0.0000 0.5000 0.3893
O3 O 0.5000 0.5000 0.1665
```

Peak list (10 most intense, 2θ = 10–90°, most intense first)
index	2theta	d_spacing	I/Imax
1 0 3	30.60	2.921	100
1 1 0	31.92	2.804	66
1 0 2	26.35	3.382	40
2 1 3	56.06	1.641	37
2 0 0	45.76	1.983	34
1 1 6	53.57	1.711	27
0 0 5	34.61	2.592	18
1 1 5	47.79	1.903	18
2 0 5	58.62	1.575	15
1 1 4	42.64	2.120	14


Starting from a structure optimized by DFT (PBE+U), the PXRD pattern of Ba3UFe2O9 was simulated for copper Kα.
Intensities are scaled so that the largest is 100.

Crystal structure
```
data_Ba3UFe2O9
_cell_length_a 5.8758
_cell_length_b 8.4180
_cell_length_c 17.6839
_cell_angle_alpha 90.00
_cell_angle_beta 90.00
_cell_angle_gamma 90.00
_space_group_name_H-M_alt 'I m m m'
_space_group_IT_number 71
_space_group_name_Hall '-I 2 2'
loop_
_atom_site_label
_atom_site_type_symbol
_atom_site_fract_x
_atom_site_fract_y
_atom_site_fract_z
Ba1 Ba 0.0000 0.2285 0.0000
Ba2 Ba 0.0000 0.2619 0.3437
U1 U 0.0000 0.5000 0.1679
Fe1 Fe 0.0000 0.0000 0.1619
Fe2 Fe 0.0000 0.0000 0.5000
Fe3 Fe 0.0000 0.5000 0.5000
O1 O 0.0000 0.2443 0.5000
O2 O 0.0000 0.2504 0.1664
O3 O 0.2484 0.0000 0.2487
O4 O 0.2495 0.0000 0.4158
O5 O 0.2504 0.0000 0.0843
```

Peak list (10 most intense, 2θ = 10–90°, most intense first)
index	2theta	d_spacing	I/Imax
1 2 3	30.20	2.959	100
2 0 0	30.38	2.942	50
2 0 6	43.49	2.081	30
3 2 3	53.92	1.700	20
2 4 0	53.53	1.712	19
1 1 0	18.39	4.823	19
1 2 9	53.80	1.704	18
2 4 6	62.80	1.480	17
0 4 0	42.98	2.104	15
3 2 9	71.63	1.317	11


Starting from a structure optimized by DFT (PBE+U), the PXRD pattern of Ba2VFeO6 was simulated for copper Kα.
Intensities are scaled so that the largest is 100.

Crystal structure
```
data_Ba2VFeO6
_cell_length_a 5.7300
_cell_length_b 5.7300
_cell_length_c 18.7803
_cell_angle_alpha 90.00
_cell_angle_beta 90.00
_cell_angle_gamma 120.00
_space_group_name_H-M_alt 'P 63/m m c'
_space_group_IT_number 194
_space_group_name_Hall '-P 6c 2c'
loop_
_atom_site_label
_atom_site_type_symbol
_atom_site_fract_x
_atom_site_fract_y
_atom_site_fract_z
Ba1 Ba 0.0000 0.0000 0.0000
Ba2 Ba 0.3333 0.6667 0.1347
Ba3 Ba 0.3333 0.6667 0.7500
V1 V 0.3333 0.6667 0.5624
Fe1 Fe 0.0000 0.0000 0.1811
O1 O 0.0000 0.5000 0.0000
O2 O 0.1548 0.3095 0.2500
O3 O 0.1760 0.3519 0.6173
```

Peak list (10 most intense, 2θ = 10–90°, most intense first)
index	2theta	d_spacing	I/Imax
1 1 0	31.22	2.865	100
1 0 5	29.83	2.995	66
2 0 5	43.72	2.070	38
2 1 5	54.70	1.678	23
1 0 6	33.86	2.647	23
2 2 0	65.12	1.433	20
3 0 0	55.56	1.654	19
2 0 6	46.72	1.944	18
1 0 4	26.13	3.410	17
2 0 3	39.05	2.307	17


Starting from a structure optimized by DFT (PBE+U), the PXRD pattern of Ba2VFeO6 was simulated for copper Kα.
Intensities are scaled so that the largest is 100.

Crystal structure
```
data_Ba2VFeO6
_cell_length_a 8.0350
_cell_length_b 8.0350
_cell_length_c 8.0350
_cell_angle_alpha 90.00
_cell_angle_beta 90.00
_cell_angle_gamma 90.00
_space_group_name_H-M_alt 'F m -3 m'
_space_group_IT_number 225
_space_group_name_Hall '-F 4 2 3'
loop_
_atom_site_label
_atom_site_type_symbol
_atom_site_fract_x
_atom_site_fract_y
_atom_site_fract_z
Ba1 Ba 0.2500 0.2500 0.2500
V1 V 0.0000 0.0000 0.0000
Fe1 Fe 0.0000 0.0000 0.5000
O1 O 0.0000 0.0000 0.2405
```

Peak list (10 most intense, 2θ = 10–90°, most intense first)
index	2theta	d_spacing	I/Imax
2 2 0	31.49	2.841	100
4 2 2	56.07	1.640	38
4 0 0	45.14	2.009	34
2 2 2	38.82	2.319	20
4 4 0	65.74	1.420	20
6 2 0	74.72	1.270	17
2 0 0	22.13	4.017	14
4 2 0	50.82	1.797	7
6 2 2	79.05	1.211	7
4 4 4	83.32	1.160	7


Starting from a structure optimized by DFT (PBE+U), the PXRD pattern of Ba2FeWO6 was simulated for copper Kα.
Intensities are scaled so that the largest is 100.

Crystal structure
```
data_Ba2FeWO6
_cell_length_a 5.8410
_cell_length_b 5.8659
_cell_length_c 10.1145
_cell_angle_alpha 73.70
_cell_angle_beta 73.34
_cell_angle_gamma 60.41
_space_group_name_H-M_alt 'P -1'
_space_group_IT_number 2
loop_
_space_group_symop_operation_xyz
'x,y,z'
'-x,-y,-z'
loop_
_atom_site_label
_atom_site_type_symbol
_atom_site_fract_x
_atom_site_fract_y
_atom_site_fract_z
Ba1 Ba 0.1225 0.1239 0.1254
Ba2 Ba 0.3724 0.3729 0.3748
Fe1 Fe 0.0000 0.0000 0.5000
Fe2 Fe 0.5000 0.5000 0.0000
W1 W 0.2537 0.2522 0.7499
O1 O 0.0989 0.6296 0.1319
O2 O 0.1371 0.1341 0.6312
O3 O 0.1386 0.6052 0.6320
O4 O 0.3731 0.9002 0.8673
O5 O 0.3756 0.3721 0.8694
O6 O 0.3867 0.8662 0.3697
```

Peak list (10 most intense, 2θ = 10–90°, most intense first)
index	2theta	d_spacing	I/Imax
1 2 1	30.49	2.932	100
2 1 1	30.62	2.920	66
1 3 4	54.37	1.687	39
1 -1 0	30.36	2.945	34
0 0 2	18.54	4.785	33
-1 2 3	54.14	1.694	27
0 2 -2	43.37	2.086	20
2 0 -2	43.76	2.069	20
2 2 4	43.93	2.061	19
2 0 6	63.45	1.466	18


Starting from a structure optimized by DFT (PBE+U), the PXRD pattern of Ba2FeWO6 was simulated for copper Kα.
Intensities are scaled so that the largest is 100.

Crystal structure
```
data_Ba2FeWO6
_cell_length_a 5.9227
_cell_length_b 5.9227
_cell_length_c 8.1268
_cell_angle_alpha 90.00
_cell_angle_beta 90.00
_cell_angle_gamma 90.00
_space_group_name_H-M_alt 'I 4/m m m'
_space_group_IT_number 139
_space_group_name_Hall '-I 4 2'
loop_
_atom_site_label
_atom_site_type_symbol
_atom_site_fract_x
_atom_site_fract_y
_atom_site_fract_z
Ba1 Ba 0.0000 0.5000 0.2500
Fe1 Fe 0.0000 0.0000 0.0000
W1 W 0.0000 0.0000 0.5000
O1 O 0.0000 0.0000 0.2577
O2 O 0.2339 0.2339 0.5000
```

Peak list (10 most intense, 2θ = 10–90°, most intense first)
index	2theta	d_spacing	I/Imax
1 1 2	30.66	2.916	100
2 0 0	30.18	2.961	52
3 1 2	53.90	1.701	41
2 2 0	43.20	2.094	31
1 0 1	18.54	4.786	25
2 0 4	54.80	1.675	20
2 2 4	63.83	1.458	18
0 0 4	44.60	2.032	14
5 1 2	87.31	1.117	11
4 2 4	88.03	1.109	11


Starting from a structure optimized by DFT (PBE+U), the PXRD pattern of BaYFe4O7 was simulated for copper Kα.
Intensities are scaled so that the largest is 100.

Crystal structure
```
data_BaYFe4O7
_cell_length_a 6.5453
_cell_length_b 6.5453
_cell_length_c 10.5063
_cell_angle_alpha 90.00
_cell_angle_beta 90.00
_cell_angle_gamma 120.00
_space_group_name_H-M_alt 'P 63 m c'
_space_group_IT_number 186
_space_group_name_Hall 'P 6c -2c'
loop_
_atom_site_label
_atom_site_type_symbol
_atom_site_fract_x
_atom_site_fract_y
_atom_site_fract_z
Ba1 Ba 0.3333 0.6667 0.0000
Y1 Y 0.3333 0.6667 0.3940
Fe1 Fe 0.0000 0.0000 0.4619
Fe2 Fe 0.1715 0.3431 0.7108
O1 O 0.0000 0.0000 0.2775
O2 O 0.0010 0.5005 0.2762
O3 O 0.1616 0.3233 0.5157
```

Peak list (10 most intense, 2θ = 10–90°, most intense first)
index	2theta	d_spacing	I/Imax
1 1 2	32.23	2.778	100
2 0 1	32.73	2.736	71
1 0 3	29.99	2.979	62
1 1 0	27.25	3.273	41
2 0 5	54.35	1.688	37
2 2 0	56.21	1.636	37
3 0 2	51.39	1.778	26
2 1 3	49.90	1.828	26
0 0 4	34.14	2.627	20
4 1 2	79.63	1.204	14


Starting from a structure optimized by DFT (PBE+U), the PXRD pattern of Ba2YFeO5 was simulated for copper Kα.
Intensities are scaled so that the largest is 100.

Crystal structure
```
data_Ba2YFeO5
_cell_length_a 7.9372
_cell_length_b 6.1806
_cell_length_c 14.8077
_cell_angle_alpha 90.00
_cell_angle_beta 120.37
_cell_angle_gamma 90.00
_space_group_name_H-M_alt 'P 1 21/c 1'
_space_group_IT_number 14
loop_
_space_group_symop_operation_xyz
'x,y,z'
'-x,-y,-z'
'-x,y+1/2,-z+1/2'
'x,-y+1/2,z+1/2'
loop_
_atom_site_label
_atom_site_type_symbol
_atom_site_fract_x
_atom_site_fract_y
_atom_site_fract_z
Ba1 Ba 0.1109 0.2492 0.1188
Ba2 Ba 0.3624 0.7367 0.3460
Y1 Y 0.1395 0.2494 0.8705
Fe1 Fe 0.3416 0.7353 0.0837
O1 O 0.0299 0.5442 0.7724
O2 O 0.1548 0.7459 0.6291
O3 O 0.2534 0.5508 0.4756
O4 O 0.2956 0.0470 0.5214
O5 O 0.3869 0.2243 0.8214
```

Peak list (10 most intense, 2θ = 10–90°, most intense first)
index	2theta	d_spacing	I/Imax
2 1 0	29.83	2.995	100
2 1 -4	30.58	2.923	89
0 2 0	28.89	3.090	66
0 2 4	40.62	2.221	51
0 0 4	27.93	3.194	47
2 3 0	51.79	1.765	22
4 0 -4	45.75	1.983	22
2 3 -4	52.27	1.750	20
4 2 -4	55.02	1.669	17
1 1 -4	28.12	3.173	16


Starting from a structure optimized by DFT (PBE+U), the PXRD pattern of BaYFe4O7 was simulated for copper Kα.
Intensities are scaled so that the largest is 100.

Crystal structure
```
data_BaYFe4O7
_cell_length_a 9.0862
_cell_length_b 9.0862
_cell_length_c 9.0862
_cell_angle_alpha 90.00
_cell_angle_beta 90.00
_cell_angle_gamma 90.00
_space_group_name_H-M_alt 'F -4 3 m'
_space_group_IT_number 216
_space_group_name_Hall 'F -4 2 3'
loop_
_atom_site_label
_atom_site_type_symbol
_atom_site_fract_x
_atom_site_fract_y
_atom_site_fract_z
Ba1 Ba 0.0000 0.0000 0.0000
Y1 Y 0.2500 0.2500 0.7500
Fe1 Fe 0.1281 0.1281 0.3719
O1 O 0.0000 0.0000 0.5000
O2 O 0.0016 0.2500 0.7500
```

Peak list (10 most intense, 2θ = 10–90°, most intense first)
index	2theta	d_spacing	I/Imax
3 1 1	32.69	2.740	100
2 2 0	27.77	3.212	46
4 4 0	57.37	1.606	41
2 2 2	34.18	2.623	34
3 3 3	52.32	1.749	34
7 3 1	81.34	1.183	20
4 2 2	49.12	1.855	19
5 3 3	67.61	1.386	11
6 2 2	68.50	1.370	11
6 4 2	78.83	1.214	10